Computed powder X-ray diffraction pattern
Compound: BaCaNdBiO6
Radiation: Cu Kα X-rays
Structure: a crystal structure in the Materials Project, relaxed with PBE
No peak broadening, texture or thermal motion is included.

Crystal structure
```
data_BaCaNdBiO6
_symmetry_space_group_name_H-M 'F -4 3 m'
_symmetry_Int_Tables_number 216
_symmetry_space_group_name_Hall 'F -4 2 3'
_cell_length_a 8.8032
_cell_length_b 8.8032
_cell_length_c 8.8032
_cell_angle_alpha 90.00
_cell_angle_beta 90.00
_cell_angle_gamma 90.00
loop_
_atom_site_label
_atom_site_type_symbol
_atom_site_fract_x
_atom_site_fract_y
_atom_site_fract_z
Ba1 Ba 0.0000 0.0000 0.0000
Ca1 Ca 0.0000 0.0000 0.5000
Nd1 Nd 0.2500 0.2500 0.2500
Bi1 Bi 0.2500 0.2500 0.7500
O1 O 0.0103 0.2500 0.7500
```

Top 10 peaks for 2θ = 10–90°, low angle first:
- 2θ = 17.45°, 5.083 Å, intensity 10.9, hkl 1 1 1
- 2θ = 20.17°, 4.402 Å, intensity 21.5, hkl 2 0 0
- 2θ = 28.68°, 3.112 Å, intensity 100.0, hkl 2 2 0
- 2θ = 41.01°, 2.201 Å, intensity 30.5, hkl 4 0 0
- 2θ = 46.11°, 1.968 Å, intensity 10.2, hkl 4 2 0
- 2θ = 50.81°, 1.797 Å, intensity 41.9, hkl 4 2 2
- 2θ = 59.39°, 1.556 Å, intensity 19.4, hkl 4 4 0
- 2θ = 67.26°, 1.392 Å, intensity 18.6, hkl 6 2 0
- 2θ = 74.71°, 1.271 Å, intensity 6.4, hkl 4 4 4
- 2θ = 81.89°, 1.176 Å, intensity 22.1, hkl 6 4 2